No. 1
Simulated X-ray diffraction stick pattern
Compound: TbDy4Ir2
Radiation: Cu Ka
Structure: a structure optimized by DFT (GGA-PBE)

```
data_TbDy4Ir2
_cell_length_a 7.8683
_cell_length_b 6.3524
_cell_length_c 7.8753
_cell_angle_alpha 90.00
_cell_angle_beta 112.77
_cell_angle_gamma 90.00
_symmetry_space_group_name_H-M 'P 1'
_symmetry_Int_Tables_number 1
loop_
_symmetry_equiv_pos_as_xyz
'x,y,z'
loop_
_atom_site_label
_atom_site_type_symbol
_atom_site_fract_x
_atom_site_fract_y
_atom_site_fract_z
_atom_site_occupancy
Tb1 Tb 0.0278 0.2500 0.1573 1
Tb2 Tb 0.9722 0.7500 0.8427 1
Dy1 Dy 0.2377 0.5029 0.5848 1
Dy2 Dy 0.2377 0.9971 0.5848 1
Dy3 Dy 0.3345 0.7500 0.2490 1
Dy4 Dy 0.3794 0.2500 0.0151 1
Dy5 Dy 0.6206 0.7500 0.9849 1
Dy6 Dy 0.6655 0.2500 0.7510 1
Dy7 Dy 0.7623 0.0029 0.4152 1
Dy8 Dy 0.7623 0.4971 0.4152 1
Ir1 Ir 0.0138 0.2500 0.7418 1
Ir2 Ir 0.4099 0.2500 0.3730 1
Ir3 Ir 0.5901 0.7500 0.6270 1
Ir4 Ir 0.9862 0.7500 0.2582 1
```

Largest 6 diffraction maxima, in order of rising 2θ, 2θ = 10–90°:
(hkl)	two_theta	I (rel.)
2 1 -2	30.71	84
2 0 1	31.54	69
1 0 -3	34.23	73
1 2 -2	36.46	100
2 2 0	37.64	89
0 1 3	39.87	63

***

No. 2
Simulated X-ray diffraction stick pattern
Compound: TbDy3Ir8
Radiation: Cu Ka
Structure: a structure optimized by DFT (GGA-PBE)

```
data_TbDy3Ir8
_cell_length_a 5.3644
_cell_length_b 5.3644
_cell_length_c 8.7182
_cell_angle_alpha 90.00
_cell_angle_beta 90.00
_cell_angle_gamma 120.00
_symmetry_space_group_name_H-M 'P 1'
_symmetry_Int_Tables_number 1
loop_
_symmetry_equiv_pos_as_xyz
'x,y,z'
loop_
_atom_site_label
_atom_site_type_symbol
_atom_site_fract_x
_atom_site_fract_y
_atom_site_fract_z
_atom_site_occupancy
Tb1 Tb 0.0000 0.0000 0.0000 1
Dy1 Dy 0.0000 0.0000 0.3656 1
Dy2 Dy 0.6667 0.3333 0.4999 1
Dy3 Dy 0.6667 0.3333 0.8653 1
Ir1 Ir 0.1635 0.3269 0.6825 1
Ir2 Ir 0.1635 0.8365 0.6825 1
Ir3 Ir 0.3333 0.6667 0.4327 1
Ir4 Ir 0.3333 0.6667 0.9326 1
Ir5 Ir 0.5032 0.0065 0.1830 1
Ir6 Ir 0.5032 0.4968 0.1830 1
Ir7 Ir 0.6731 0.8365 0.6825 1
Ir8 Ir 0.9935 0.4968 0.1830 1
```

Largest 6 diffraction maxima, in order of rising 2θ, 2θ = 10–90°:
(hkl)	two_theta	I (rel.)
1 0 3	36.47	68
1 1 2	39.45	100
0 2 1	40.18	100
2 0 2	44.18	28
0 2 5	67.12	32
2 2 0	70.18	31